No. 1
Diffraction record for Sr2Pd4Pb3Au. The powder XRD pattern is theoretical, not measured: it uses a structure optimized by DFT (GGA-PBE) and a wavelength of 1.5418 Å.
Intensities are scaled so that the largest is 100.

Structural model:
Cell lengths 4.7801, 4.7801, 10.8771 Å; angles 90.00, 90.00, 90.00 degrees
Sites, in units of the cell vectors:
Sr: 0.0000 0.5000 0.2450
Sr: 0.5000 0.0000 0.7550
Pd: 0.0000 0.0000 0.5000
Pd: 0.0000 0.5000 0.8694
Pd: 0.5000 0.0000 0.1306
Pd: 0.5000 0.5000 0.5000
Pb: 0.0000 0.0000 0.0000
Pb: 0.0000 0.5000 0.6224
Pb: 0.5000 0.0000 0.3776
Au: 0.5000 0.5000 0.0000

The 10 most intense peaks (2θ from 15° to 90°), in order of rising 2θ:
2θ = 16.30°, intensity 35
2θ = 20.29°, intensity 31
2θ = 30.96°, intensity 61
2θ = 31.16°, intensity 100
2θ = 37.64°, intensity 96
2θ = 42.68°, intensity 76
2θ = 49.50°, intensity 33
2θ = 54.28°, intensity 33
2θ = 63.92°, intensity 26
2θ = 71.40°, intensity 34


No. 2
Diffraction record for Cd5InAu3. The powder XRD pattern is theoretical, not measured: it uses a structure optimized by DFT (GGA-PBE) and a wavelength of 1.5418 Å.
Intensities are scaled so that the largest is 100.

Structural model:
Cell lengths 8.1970, 8.1970, 8.9465 Å; angles 105.24, 105.24, 48.23 degrees
Sites, in units of the cell vectors:
Cd: 0.0945 0.5686 0.9111
Cd: 0.0965 0.5642 0.4191
Cd: 0.2381 0.7619 0.7500
Cd: 0.4314 0.9055 0.5889
Cd: 0.4358 0.9035 0.0809
Cd: 0.5642 0.0965 0.9191
Cd: 0.5686 0.0945 0.4111
Cd: 0.7619 0.2381 0.2500
Cd: 0.9035 0.4358 0.5809
Cd: 0.9055 0.4314 0.0889
In: 0.2453 0.7547 0.2500
In: 0.7547 0.2453 0.7500
Au: 0.1569 0.1704 0.8322
Au: 0.1704 0.1569 0.3322
Au: 0.5000 0.5000 0.0000
Au: 0.5000 0.5000 0.5000
Au: 0.8296 0.8431 0.6678
Au: 0.8431 0.8296 0.1678

The 10 most intense peaks (2θ from 15° to 90°), in order of rising 2θ:
2θ = 22.87°, intensity 66
2θ = 23.92°, intensity 87
2θ = 37.66°, intensity 53
2θ = 38.39°, intensity 100
2θ = 38.63°, intensity 98
2θ = 40.33°, intensity 44
2θ = 44.81°, intensity 23
2θ = 45.35°, intensity 24
2θ = 68.31°, intensity 18
2θ = 68.78°, intensity 17


No. 3
Diffraction record for PrFe2PN. The powder XRD pattern is theoretical, not measured: it uses a structure optimized by DFT (GGA-PBE) and a wavelength of 1.5418 Å.
Intensities are scaled so that the largest is 100.

Structural model:
Cell lengths 5.5968, 5.5968, 6.7883 Å; angles 90.00, 90.00, 141.17 degrees
Sites, in units of the cell vectors:
Pr: 0.0488 0.9512 0.7500
Pr: 0.9512 0.0488 0.2500
Fe: 0.3338 0.6662 0.5550
Fe: 0.3338 0.6662 0.9450
Fe: 0.6662 0.3338 0.0550
Fe: 0.6662 0.3338 0.4450
P: 0.2276 0.7724 0.2500
P: 0.7724 0.2276 0.7500
N: 0.5000 0.5000 0.0000
N: 0.5000 0.5000 0.5000

The 10 most intense peaks (2θ from 15° to 90°), in order of rising 2θ:
2θ = 31.33°, intensity 27
2θ = 35.10°, intensity 46
2θ = 36.53°, intensity 44
2θ = 36.84°, intensity 100
2θ = 37.59°, intensity 48
2θ = 43.49°, intensity 30
2θ = 48.96°, intensity 25
2θ = 54.13°, intensity 16
2θ = 62.60°, intensity 18
2θ = 65.45°, intensity 20


No. 4
Diffraction record for InPd4Au2. The powder XRD pattern is theoretical, not measured: it uses a structure optimized by DFT (GGA-PBE) and a wavelength of 1.5418 Å.
Intensities are scaled so that the largest is 100.

Structural model:
Cell lengths 5.5464, 6.8722, 7.4475 Å; angles 63.35, 68.98, 74.49 degrees
Sites, in units of the cell vectors:
In: 0.0000 0.0000 0.0000
In: 0.1954 0.7717 0.5440
Pd: 0.0440 0.1897 0.2550
Pd: 0.2722 0.1403 0.5721
Pd: 0.3249 0.3395 0.8275
Pd: 0.4229 0.7118 0.8585
Pd: 0.4705 0.9078 0.1160
Pd: 0.5693 0.2797 0.1403
Pd: 0.7152 0.8575 0.4239
Pd: 0.9024 0.6255 0.9670
Au: 0.1434 0.5617 0.2802
Au: 0.6159 0.4775 0.3928
Au: 0.7426 0.0504 0.6852
Au: 0.8449 0.4330 0.7155

The 10 most intense peaks (2θ from 15° to 90°), in order of rising 2θ:
2θ = 36.16°, intensity 19
2θ = 36.47°, intensity 48
2θ = 37.81°, intensity 82
2θ = 40.98°, intensity 100
2θ = 41.09°, intensity 92
2θ = 41.37°, intensity 47
2θ = 41.48°, intensity 43
2θ = 53.25°, intensity 22
2θ = 70.28°, intensity 28
2θ = 77.70°, intensity 19


No. 5
Diffraction record for MoPt4Rh6. The powder XRD pattern is theoretical, not measured: it uses a structure optimized by DFT (GGA-PBE) and a wavelength of 1.5418 Å.
Intensities are scaled so that the largest is 100.

Structural model:
Cell lengths 4.2985, 4.2985, 20.2371 Å; angles 90.00, 90.00, 114.80 degrees
Sites, in units of the cell vectors:
Mo: 0.2314 0.7686 0.7500
Mo: 0.7686 0.2314 0.2500
Pt: 0.0667 0.9333 0.1266
Pt: 0.0667 0.9333 0.3734
Pt: 0.3635 0.6365 0.0459
Pt: 0.3635 0.6365 0.4541
Pt: 0.6365 0.3635 0.5459
Pt: 0.6365 0.3635 0.9541
Pt: 0.9333 0.0667 0.6266
Pt: 0.9333 0.0667 0.8734
Rh: 0.0000 0.0000 0.0000
Rh: 0.0000 0.0000 0.5000
Rh: 0.1230 0.8770 0.2500
Rh: 0.2822 0.7178 0.5953
Rh: 0.2822 0.7178 0.9047
Rh: 0.4432 0.5568 0.1846
Rh: 0.4432 0.5568 0.3154
Rh: 0.5568 0.4432 0.6846
Rh: 0.5568 0.4432 0.8154
Rh: 0.7178 0.2822 0.0953
Rh: 0.7178 0.2822 0.4047
Rh: 0.8770 0.1230 0.7500

The 10 most intense peaks (2θ from 15° to 90°), in order of rising 2θ:
2θ = 33.20°, intensity 22
2θ = 36.40°, intensity 26
2θ = 38.77°, intensity 30
2θ = 38.89°, intensity 89
2θ = 39.90°, intensity 51
2θ = 42.46°, intensity 71
2θ = 42.59°, intensity 100
2θ = 43.19°, intensity 41
2θ = 56.94°, intensity 35
2θ = 72.93°, intensity 34


No. 6
Diffraction record for SmErPa2Rh4. The powder XRD pattern is theoretical, not measured: it uses a structure optimized by DFT (GGA-PBE) and a wavelength of 1.5418 Å.
Intensities are scaled so that the largest is 100.

Structural model:
Cell lengths 6.8808, 5.6664, 6.6685 Å; angles 67.24, 49.41, 63.34 degrees
Sites, in units of the cell vectors:
Sm: 0.0000 0.0000 0.0000
Er: 0.5847 0.5847 0.4153
Pa: 0.2307 0.2307 0.2693
Pa: 0.7307 0.7307 0.7693
Rh: 0.0916 0.4825 0.9084
Rh: 0.2377 0.7036 0.2964
Rh: 0.4825 0.0916 0.5175
Rh: 0.7036 0.2377 0.7623

The 10 most intense peaks (2θ from 15° to 90°), in order of rising 2θ:
2θ = 28.49°, intensity 20
2θ = 31.71°, intensity 100
2θ = 32.78°, intensity 61
2θ = 35.82°, intensity 32
2θ = 46.25°, intensity 68
2θ = 46.50°, intensity 19
2θ = 47.57°, intensity 17
2θ = 58.97°, intensity 17
2θ = 68.71°, intensity 17
2θ = 77.66°, intensity 14